(1)
This entry pairs a crystal structure of CdIn7Hg2 with its computed PXRD pattern. Radiation: Cu Ka. Structure: the PBE geometry in Alexandria.
Lines closer than 0.1° are merged.

Cell and atoms:
Cell lengths 8.5790, 8.5790, 11.2156 Å; angles 115.70, 115.70, 46.15 degrees
Sites, in units of the cell vectors:
Cd 0.1262 0.8738 0.7500
Cd 0.8738 0.1262 0.2500
In 0.0261 0.7753 0.9504
In 0.0790 0.3199 0.8499
In 0.2247 0.9739 0.5496
In 0.2691 0.5275 0.4567
In 0.3199 0.0790 0.3499
In 0.3752 0.6248 0.2500
In 0.4725 0.7309 0.0433
In 0.5275 0.2691 0.9567
In 0.6248 0.3752 0.7500
In 0.6801 0.9210 0.6501
In 0.7309 0.4725 0.5433
In 0.7753 0.0261 0.4504
In 0.9210 0.6801 0.1501
In 0.9739 0.2247 0.0496
Hg 0.1796 0.4260 0.6573
Hg 0.4260 0.1796 0.1573
Hg 0.5740 0.8204 0.8427
Hg 0.8204 0.5740 0.3427

Main lines, in order of rising 2θ (2θ = 5–70°):
32.20°, d = 2.780 Å, intensity 51
32.66°, d = 2.742 Å, intensity 100
34.08°, d = 2.631 Å, intensity 45
37.98°, d = 2.369 Å, intensity 33
38.27°, d = 2.352 Å, intensity 65
53.76°, d = 1.705 Å, intensity 24
56.27°, d = 1.635 Å, intensity 21
67.37°, d = 1.390 Å, intensity 17



(2)
This entry pairs a crystal structure of InCoOs with its computed PXRD pattern. Radiation: Cu Ka. Structure: the PBE geometry in Alexandria.
Lines closer than 0.1° are merged.

Cell and atoms:
Cell lengths 5.1629, 3.7349, 5.4321 Å; angles 90.00, 106.90, 90.00 degrees
Sites, in units of the cell vectors:
In 0.2207 0.2500 0.4311
In 0.7793 0.7500 0.5689
Co 0.0868 0.2500 0.8943
Co 0.9132 0.7500 0.1057
Os 0.4026 0.7500 0.0901
Os 0.5974 0.2500 0.9099

Main lines, in order of rising 2θ (2θ = 5–70°):
17.06°, d = 5.197 Å, intensity 44
28.31°, d = 3.152 Å, intensity 48
31.90°, d = 2.806 Å, intensity 100
42.37°, d = 2.133 Å, intensity 90
42.54°, d = 2.125 Å, intensity 35
43.13°, d = 2.097 Å, intensity 53
43.95°, d = 2.060 Å, intensity 60
48.76°, d = 1.867 Å, intensity 39